(1)
Starting from the PBE geometry in Alexandria, the PXRD pattern of CaPrDy2Hg4 was computed for copper Kα.
Peak positions follow from Bragg's law for the DFT cell and can differ from measured ones.

Peak list (10 most intense, 2θ from 5° to 70°, sorted by position)
20.44°, d = 4.345 Å, I 3.2
23.60°, d = 3.770 Å, I 11.9
33.51°, d = 2.674 Å, I 100.0
33.72°, d = 2.658 Å, I 99.0
41.57°, d = 2.172 Å, I 3.0
48.28°, d = 1.885 Å, I 36.3
54.27°, d = 1.690 Å, I 2.9
59.78°, d = 1.547 Å, I 18.8
60.18°, d = 1.538 Å, I 37.7
60.32°, d = 1.534 Å, I 18.8

```
data_CaPrDy2Hg4
_symmetry_space_group_name_H-M 'R -3 m'
_symmetry_Int_Tables_number 166
_symmetry_space_group_name_Hall '-R 3 2"'
_cell_length_a 5.3155
_cell_length_b 5.3155
_cell_length_c 26.2824
_cell_angle_alpha 90.00
_cell_angle_beta 90.00
_cell_angle_gamma 120.00
loop_
_atom_site_label
_atom_site_type_symbol
_atom_site_fract_x
_atom_site_fract_y
_atom_site_fract_z
Ca1 Ca 0.0000 0.0000 0.0000
Pr1 Pr 0.0000 0.0000 0.5000
Dy1 Dy 0.0000 0.0000 0.2527
Hg1 Hg 0.0000 0.0000 0.1233
Hg2 Hg 0.0000 0.0000 0.3746
```

***

(2)
Starting from the PBE geometry in Alexandria, the PXRD pattern of Ca3DyIn4 was computed for copper Kα.
Peak positions follow from Bragg's law for the DFT cell and can differ from measured ones.

Peak list (10 most intense, 2θ from 5° to 70°, sorted by position)
5.69°, d = 15.530 Å, I 32.7
11.40°, d = 7.765 Å, I 7.6
23.42°, d = 3.798 Å, I 6.7
32.99°, d = 2.715 Å, I 100.0
33.36°, d = 2.686 Å, I 48.8
46.80°, d = 1.941 Å, I 9.0
47.90°, d = 1.899 Å, I 17.2
58.68°, d = 1.573 Å, I 18.1
59.39°, d = 1.556 Å, I 35.0
69.21°, d = 1.357 Å, I 10.7

```
data_Ca3DyIn4
_symmetry_space_group_name_H-M 'P 4/m m m'
_symmetry_Int_Tables_number 123
_symmetry_space_group_name_Hall '-P 4 2'
_cell_length_a 3.7980
_cell_length_b 3.7980
_cell_length_c 15.5299
_cell_angle_alpha 90.00
_cell_angle_beta 90.00
_cell_angle_gamma 90.00
loop_
_atom_site_label
_atom_site_type_symbol
_atom_site_fract_x
_atom_site_fract_y
_atom_site_fract_z
Ca1 Ca 0.0000 0.0000 0.0000
Ca2 Ca 0.0000 0.0000 0.2521
Dy1 Dy 0.0000 0.0000 0.5000
In1 In 0.5000 0.5000 0.1275
In2 In 0.5000 0.5000 0.3793
```

***

(3)
Starting from the PBE geometry in Alexandria, the PXRD pattern of LiCaDy2In4 was computed for copper Kα.
Peak positions follow from Bragg's law for the DFT cell and can differ from measured ones.

Peak list (10 most intense, 2θ from 5° to 70°, sorted by position)
20.52°, d = 4.329 Å, I 13.4
20.69°, d = 4.293 Å, I 35.7
33.92°, d = 2.643 Å, I 100.0
34.14°, d = 2.626 Å, I 100.0
39.97°, d = 2.256 Å, I 6.0
40.19°, d = 2.244 Å, I 21.3
48.90°, d = 1.863 Å, I 35.1
60.56°, d = 1.529 Å, I 17.3
60.98°, d = 1.519 Å, I 35.6
61.13°, d = 1.516 Å, I 18.0

```
data_LiCaDy2In4
_symmetry_space_group_name_H-M 'R -3 m'
_symmetry_Int_Tables_number 166
_symmetry_space_group_name_Hall '-R 3 2"'
_cell_length_a 5.2520
_cell_length_b 5.2520
_cell_length_c 25.9754
_cell_angle_alpha 90.00
_cell_angle_beta 90.00
_cell_angle_gamma 120.00
loop_
_atom_site_label
_atom_site_type_symbol
_atom_site_fract_x
_atom_site_fract_y
_atom_site_fract_z
Li1 Li 0.0000 0.0000 0.0000
Ca1 Ca 0.0000 0.0000 0.5000
Dy1 Dy 0.0000 0.0000 0.2521
In1 In 0.0000 0.0000 0.1214
In2 In 0.0000 0.0000 0.3726
```